Record 1
Simulated XRD peak list
Compound: Mn2PSe
Radiation: Cu Kα (λ = 1.5418 Å)
Structure: a PBE-relaxed structure

Atomic structure:
Cell lengths 6.2191, 3.6047, 6.2086 Å; angles 90.00, 109.57, 90.00 degrees
Space group C2/m (No. 12)
Asymmetric unit:
1 Mn 0.2384 0.0000 0.2152 (multiplicity 4)
2 P 0.0000 0.5000 0.0000 (multiplicity 2)
3 Se 0.0000 0.0000 0.5000 (multiplicity 2)

The 10 most intense peaks (5° ≤ 2θ ≤ 70°), low angle first:
29.1 deg, I 11.4, hkl 1 1 0; 35.3 deg, I 100.0, hkl 1 1 1; 38.6 deg, I 8.7, hkl 1 1 -2; 38.7 deg, I 4.3, hkl 2 0 1; 46.6 deg, I 4.4, hkl 0 0 3; 50.6 deg, I 11.7, hkl 0 2 0; 50.8 deg, I 42.7, hkl 3 1 -1; 51.0 deg, I 9.7, hkl 2 0 2; 63.3 deg, I 11.1, hkl 2 2 -2; 63.5 deg, I 5.5, hkl 4 0 0

Record 2
Simulated XRD peak list
Compound: Tb7Cu3Te12
Radiation: Cu Kα (λ = 1.5418 Å)
Structure: a PBE-relaxed structure

Atomic structure:
Cell lengths 7.5524, 7.5524, 14.3034 Å; angles 85.09, 80.02, 60.03 degrees
Space group P1 (No. 1)
Asymmetric unit:
1 Tb 0.0000 0.0000 0.0000 (multiplicity 1)
2 Tb 0.0819 0.6724 0.7469 (multiplicity 1)
3 Tb 0.1766 0.3353 0.4903 (multiplicity 1)
4 Tb 0.3263 0.3424 0.9995 (multiplicity 1)
5 Tb 0.4965 0.6742 0.4900 (multiplicity 1)
6 Tb 0.6733 0.6683 0.9995 (multiplicity 1)
7 Tb 0.8375 0.0052 0.4901 (multiplicity 1)
8 Cu 0.2296 0.0018 0.3190 (multiplicity 1)
9 Cu 0.5577 0.3370 0.3191 (multiplicity 1)
10 Cu 0.9483 0.3393 0.1573 (multiplicity 1)
11 Te 0.0429 0.3351 0.8694 (multiplicity 1)
12 Te 0.1261 0.0058 0.6183 (multiplicity 1)
13 Te 0.2062 0.6709 0.3583 (multiplicity 1)
14 Te 0.2965 0.9992 0.1273 (multiplicity 1)
15 Te 0.3767 0.6704 0.8707 (multiplicity 1)
16 Te 0.4625 0.3397 0.6182 (multiplicity 1)
17 Te 0.5544 0.9967 0.3598 (multiplicity 1)
18 Te 0.6198 0.3370 0.1274 (multiplicity 1)
19 Te 0.7079 0.0048 0.8707 (multiplicity 1)
20 Te 0.7967 0.6699 0.6162 (multiplicity 1)
21 Te 0.8807 0.3451 0.3583 (multiplicity 1)
22 Te 0.9574 0.6757 0.1282 (multiplicity 1)

The 10 most intense peaks (5° ≤ 2θ ≤ 70°), low angle first:
12.6 deg, I 15.6, hkl 0 0 2; 25.0 deg, I 10.5, hkl 2 1 2; 27.9 deg, I 100.0, hkl 1 2 -2; 31.8 deg, I 22.5, hkl 2 1 4; 33.3 deg, I 9.8, hkl 1 2 4; 38.2 deg, I 21.1, hkl 2 1 -4; 41.4 deg, I 55.4, hkl 3 3 1; 43.6 deg, I 14.4, hkl 1 -1 6; 50.6 deg, I 12.8, hkl 4 2 -1; 67.4 deg, I 10.7, hkl 4 5 -1

Record 3
Simulated XRD peak list
Compound: BeTlBr3
Radiation: Cu Kα (λ = 1.5418 Å)
Structure: a PBE-relaxed structure

Atomic structure:
Cell lengths 6.5261, 7.4344, 7.4362 Å; angles 79.10, 85.05, 84.99 degrees
Space group P-1 (No. 2)
Asymmetric unit:
1 Be 0.0000 0.1554 0.3457 (multiplicity 2)
2 Tl 0.1645 0.6658 0.1648 (multiplicity 2)
3 Br 0.1809 0.0959 0.5968 (multiplicity 2)
4 Br 0.2072 0.1662 0.1028 (multiplicity 2)
5 Br 0.2076 0.6020 0.6636 (multiplicity 2)

The 10 most intense peaks (5° ≤ 2θ ≤ 70°), low angle first:
13.7 deg, I 53.3, hkl 1 0 0; 25.3 deg, I 28.8, hkl 0 2 1; 27.2 deg, I 100.0, hkl 1 0 2; 27.5 deg, I 23.3, hkl 2 0 0; 29.0 deg, I 52.6, hkl 1 0 -2; 30.1 deg, I 20.3, hkl -1 2 1; 31.4 deg, I 21.3, hkl 0 2 2; 38.0 deg, I 19.0, hkl 0 2 -2; 38.5 deg, I 25.6, hkl 2 0 -2; 50.1 deg, I 24.2, hkl 1 4 1

Record 4
Simulated XRD peak list
Compound: Li2Pr2Zn
Radiation: Cu Kα (λ = 1.5418 Å)
Structure: a PBE-relaxed structure

Atomic structure:
Cell lengths 3.7380, 3.7380, 18.9722 Å; angles 90.00, 90.00, 90.00 degrees
Space group I4/mmm (No. 139)
Asymmetric unit:
1 Li 0.0000 0.5000 0.2500 (multiplicity 4)
2 Pr 0.0000 0.0000 0.0928 (multiplicity 4)
3 Zn 0.0000 0.0000 0.5000 (multiplicity 2)

The 10 most intense peaks (5° ≤ 2θ ≤ 70°), low angle first:
9.3 deg, I 100.0, hkl 0 0 2; 24.3 deg, I 43.7, hkl 1 0 1; 27.7 deg, I 17.2, hkl 1 0 3; 33.7 deg, I 84.0, hkl 1 0 5; 33.9 deg, I 40.4, hkl 1 1 0; 35.2 deg, I 22.9, hkl 1 1 2; 41.1 deg, I 22.7, hkl 1 0 7; 48.7 deg, I 16.2, hkl 2 0 0; 60.0 deg, I 14.6, hkl 1 1 10; 60.5 deg, I 30.4, hkl 2 1 5

Record 5
Simulated XRD peak list
Compound: MnPt2Rh3
Radiation: Cu Kα (λ = 1.5418 Å)
Structure: a PBE-relaxed structure

Atomic structure:
Cell lengths 8.7660, 8.9438, 2.6990 Å; angles 90.00, 90.00, 90.00 degrees
Space group Pnnm (No. 58)
Asymmetric unit:
1 Mn 0.0000 0.0000 0.0000 (multiplicity 2)
2 Pt 0.1344 0.2764 0.0000 (multiplicity 4)
3 Rh 0.0000 0.5000 0.5000 (multiplicity 2)
4 Rh 0.2435 0.0523 0.5000 (multiplicity 4)

The 10 most intense peaks (5° ≤ 2θ ≤ 70°), low angle first:
14.1 deg, I 13.9, hkl 1 1 0; 22.6 deg, I 100.0, hkl 2 1 0; 36.2 deg, I 19.1, hkl 1 1 1; 36.4 deg, I 21.0, hkl 2 3 0; 40.4 deg, I 48.1, hkl 0 4 0; 40.5 deg, I 41.2, hkl 2 1 1; 41.7 deg, I 20.4, hkl 1 4 0; 46.1 deg, I 48.5, hkl 4 2 0; 46.6 deg, I 37.7, hkl 1 3 1; 46.9 deg, I 16.2, hkl 3 1 1

Record 6
Simulated XRD peak list
Compound: FeCuNi
Radiation: Cu Kα (λ = 1.5418 Å)
Structure: a PBE-relaxed structure

Atomic structure:
Cell lengths 4.3892, 7.6282, 4.3953 Å; angles 90.00, 109.66, 90.00 degrees
Space group C2/c (No. 15)
Asymmetric unit:
1 Fe 0.0000 0.0852 0.2500 (multiplicity 4)
2 Cu 0.0000 0.2499 0.7500 (multiplicity 4)
3 Ni 0.0000 0.4211 0.2500 (multiplicity 4)

The 4 most intense peaks (5° ≤ 2θ ≤ 70°), low angle first:
27.5 deg, I 0.6, hkl 1 1 -1; 43.6 deg, I 100.0, hkl 1 3 -1; 43.8 deg, I 99.2, hkl 2 0 0; 50.9 deg, I 92.5, hkl 2 0 -2